Entry 1:
Ho2Zn17: computed XRD peak list (Cu Kα X-rays), based on the GGA-PBE geometry in the Materials Project.
Intensities are scaled so that the largest is 100.

Crystal structure
```
Ho2Zn17
1.0
4.478 2.585 4.403
-4.478 2.585 4.403
0.000 -5.170 4.403
Ho Zn
2 17
Direct
0.165 0.165 0.165 Ho
0.835 0.835 0.835 Ho
0.000 0.500 0.500 Zn
0.148 0.148 0.662 Zn
0.148 0.662 0.148 Zn
0.202 0.500 0.798 Zn
0.202 0.798 0.500 Zn
0.338 0.852 0.852 Zn
0.400 0.400 0.400 Zn
0.500 0.000 0.500 Zn
0.500 0.202 0.798 Zn
0.500 0.500 0.000 Zn
0.500 0.798 0.202 Zn
0.600 0.600 0.600 Zn
0.662 0.148 0.148 Zn
0.798 0.202 0.500 Zn
0.798 0.500 0.202 Zn
0.852 0.338 0.852 Zn
0.852 0.852 0.338 Zn
```

Largest 10 diffraction maxima, by angle, 2θ = 10–90°:
2θ 28.43, I = 28
2θ 34.70, I = 40
2θ 35.71, I = 24
2θ 40.28, I = 58
2θ 40.46, I = 100
2θ 41.00, I = 32
2θ 41.35, I = 20
2θ 45.45, I = 26
2θ 73.23, I = 19
2θ 74.31, I = 20

Entry 2:
BaScIr: computed XRD peak list (Cu Kα X-rays), based on the GGA-PBE geometry in the Materials Project.
Intensities are scaled so that the largest is 100.

Crystal structure
```
BaScIr
1.0
0.000 3.417 3.417
3.417 0.000 3.417
3.417 3.417 0.000
Ba Sc Ir
1 1 1
Direct
0.000 0.000 0.000 Ba
0.250 0.250 0.250 Sc
0.750 0.750 0.750 Ir
```

Largest 10 diffraction maxima, by angle, 2θ = 10–90°:
2θ 22.54, I = 68
2θ 26.08, I = 10
2θ 37.21, I = 100
2θ 43.94, I = 36
2θ 53.65, I = 17
2θ 58.91, I = 16
2θ 67.10, I = 35
2θ 71.77, I = 12
2θ 79.31, I = 11
2θ 83.73, I = 12

Entry 3:
Ba3BiPb2O9: computed XRD peak list (Cu Kα X-rays), based on the GGA-PBE geometry in the Materials Project.
Intensities are scaled so that the largest is 100.

Crystal structure
```
Ba3BiPb2O9
1.0
6.170 0.000 0.000
0.014 6.171 0.000
3.035 3.026 13.111
Ba Bi Pb O
6 2 4 18
Direct
0.081 0.081 0.336 Ba
0.251 0.251 0.999 Ba
0.417 0.416 0.665 Ba
0.583 0.584 0.335 Ba
0.749 0.749 0.001 Ba
0.919 0.919 0.664 Ba
0.167 0.667 0.167 Bi
0.833 0.333 0.833 Bi
0.000 0.500 0.500 Pb
0.334 0.834 0.832 Pb
0.500 0.000 0.500 Pb
0.666 0.166 0.168 Pb
0.049 0.051 0.850 O
0.058 0.610 0.332 O
0.108 0.556 0.834 O
0.223 0.777 0.500 O
0.276 0.724 0.000 O
0.284 0.284 0.483 O
0.382 0.385 0.183 O
0.390 0.943 0.666 O
0.442 0.889 0.166 O
0.558 0.111 0.834 O
0.610 0.057 0.334 O
0.618 0.615 0.817 O
0.716 0.716 0.517 O
0.724 0.276 0.000 O
0.777 0.223 0.500 O
0.892 0.444 0.166 O
0.942 0.390 0.668 O
0.951 0.949 0.150 O
```

Largest 10 diffraction maxima, by angle, 2θ = 10–90°:
2θ 28.81, I = 20
2θ 28.95, I = 100
2θ 41.33, I = 22
2θ 41.44, I = 11
2θ 51.12, I = 18
2θ 51.28, I = 13
2θ 51.36, I = 21
2θ 59.96, I = 14
2θ 68.00, I = 11
2θ 82.87, I = 11

Entry 4:
TmMn2Ge2: computed XRD peak list (Cu Kα X-rays), based on the GGA-PBE geometry in the Materials Project.
Intensities are scaled so that the largest is 100.

Crystal structure
```
TmMn2Ge2
1.0
-1.955 1.955 5.412
1.955 -1.955 5.412
1.955 1.955 -5.412
Tm Mn Ge
1 2 2
Direct
0.000 0.000 0.000 Tm
0.250 0.750 0.500 Mn
0.750 0.250 0.500 Mn
0.382 0.382 0.000 Ge
0.618 0.618 0.000 Ge
```

Largest 10 diffraction maxima, by angle, 2θ = 10–90°:
2θ 32.39, I = 34
2θ 33.81, I = 95
2θ 36.50, I = 100
2θ 46.46, I = 54
2θ 48.04, I = 47
2θ 58.68, I = 39
2θ 67.80, I = 17
2θ 69.05, I = 31
2θ 79.53, I = 20
2θ 87.73, I = 16

Entry 5:
BaCa2I6: computed XRD peak list (Cu Kα X-rays), based on the GGA-PBE geometry in the Materials Project.
Intensities are scaled so that the largest is 100.

Crystal structure
```
BaCa2I6
1.0
9.397 0.000 0.000
0.000 10.377 0.000
-7.218 0.000 15.953
Ba Ca I
4 8 24
Direct
0.096 0.180 0.413 Ba
0.096 0.320 0.913 Ba
0.904 0.680 0.087 Ba
0.904 0.820 0.587 Ba
0.324 0.652 0.425 Ca
0.324 0.848 0.925 Ca
0.403 0.540 0.727 Ca
0.403 0.960 0.227 Ca
0.597 0.040 0.773 Ca
0.597 0.460 0.273 Ca
0.676 0.152 0.075 Ca
0.676 0.348 0.575 Ca
0.075 0.024 0.226 I
0.075 0.476 0.726 I
0.082 0.654 0.944 I
0.082 0.846 0.444 I
0.223 0.036 0.038 I
0.223 0.464 0.538 I
0.310 0.663 0.225 I
0.310 0.837 0.725 I
0.393 0.150 0.876 I
0.393 0.350 0.376 I
0.463 0.109 0.583 I
0.463 0.391 0.083 I
0.537 0.609 0.917 I
0.537 0.891 0.417 I
0.607 0.650 0.624 I
0.607 0.850 0.124 I
0.690 0.163 0.275 I
0.690 0.337 0.775 I
0.777 0.536 0.462 I
0.777 0.964 0.962 I
0.918 0.154 0.556 I
0.918 0.346 0.056 I
0.925 0.524 0.274 I
0.925 0.976 0.774 I
```

Largest 10 diffraction maxima, by angle, 2θ = 10–90°:
2θ 23.94, I = 51
2θ 24.96, I = 50
2θ 25.17, I = 100
2θ 26.37, I = 35
2θ 26.88, I = 70
2θ 27.51, I = 81
2θ 28.27, I = 33
2θ 28.51, I = 75
2θ 32.24, I = 31
2θ 32.50, I = 33

Entry 6:
Ti4Cr: computed XRD peak list (Cu Kα X-rays), based on the GGA-PBE geometry in the Materials Project.
Intensities are scaled so that the largest is 100.

Crystal structure
```
Ti4Cr
1.0
0.000 2.348 11.104
1.533 0.000 11.104
1.533 2.348 0.000
Ti Cr
4 1
Direct
0.086 0.086 0.914 Ti
0.303 0.303 0.697 Ti
0.697 0.697 0.303 Ti
0.914 0.914 0.086 Ti
0.500 0.500 0.500 Cr
```

Largest 10 diffraction maxima, by angle, 2θ = 10–90°:
2θ 38.34, I = 27
2θ 40.59, I = 100
2θ 45.44, I = 4
2θ 57.09, I = 11
2θ 60.37, I = 6
2θ 65.65, I = 3
2θ 70.85, I = 14
2θ 73.85, I = 13
2θ 75.32, I = 4
2θ 87.84, I = 6

Entry 7:
GaGeS4: computed XRD peak list (Cu Kα X-rays), based on the GGA-PBE geometry in the Materials Project.
Intensities are scaled so that the largest is 100.

Crystal structure
```
GaGeS4
1.0
0.000 8.089 9.721
8.037 0.000 9.721
8.037 8.089 0.000
Ga Ge S
4 4 16
Direct
0.373 0.627 0.409 Ga
0.627 0.373 0.591 Ga
0.659 0.841 0.623 Ga
0.841 0.659 0.877 Ga
0.007 0.753 0.528 Ge
0.538 0.722 0.497 Ge
0.722 0.538 0.243 Ge
0.753 0.007 0.712 Ge
0.048 0.585 0.716 S
0.187 0.693 0.353 S
0.337 0.796 0.473 S
0.426 0.426 0.574 S
0.483 0.897 0.557 S
0.534 0.599 0.202 S
0.585 0.048 0.651 S
0.599 0.534 0.665 S
0.676 0.676 0.824 S
0.693 0.187 0.767 S
0.702 0.702 0.298 S
0.777 0.855 0.913 S
0.796 0.337 0.395 S
0.855 0.777 0.454 S
0.897 0.483 0.063 S
0.952 0.952 0.548 S
```

Largest 10 diffraction maxima, by angle, 2θ = 10–90°:
2θ 14.27, I = 100
2θ 18.00, I = 15
2θ 22.18, I = 44
2θ 26.37, I = 17
2θ 28.71, I = 32
2θ 28.84, I = 44
2θ 31.40, I = 15
2θ 31.56, I = 15
2θ 37.31, I = 16
2θ 49.27, I = 20

Entry 8:
NdCuO3: computed XRD peak list (Cu Kα X-rays), based on the GGA-PBE geometry in the Materials Project.
Intensities are scaled so that the largest is 100.

Crystal structure
```
NdCuO3
1.0
6.502 0.000 0.000
0.000 7.185 0.000
0.000 0.000 5.395
Nd Cu O
4 4 12
Direct
0.104 0.250 0.026 Nd
0.396 0.750 0.526 Nd
0.604 0.250 0.474 Nd
0.896 0.750 0.974 Nd
0.000 0.000 0.500 Cu
0.000 0.500 0.500 Cu
0.500 0.000 0.000 Cu
0.500 0.500 0.000 Cu
0.037 0.750 0.391 O
0.156 0.545 0.785 O
0.156 0.955 0.785 O
0.344 0.045 0.285 O
0.344 0.455 0.285 O
0.463 0.250 0.891 O
0.537 0.750 0.109 O
0.656 0.545 0.715 O
0.656 0.955 0.715 O
0.844 0.045 0.215 O
0.844 0.455 0.215 O
0.963 0.250 0.609 O
```

Largest 10 diffraction maxima, by angle, 2θ = 10–90°:
2θ 24.77, I = 66
2θ 27.44, I = 17
2θ 30.17, I = 34
2θ 32.97, I = 100
2θ 33.21, I = 28
2θ 43.62, I = 26
2θ 45.48, I = 28
2θ 46.92, I = 26
2θ 50.83, I = 17
2θ 59.19, I = 22

Entry 9:
TlGaSe2: computed XRD peak list (Cu Kα X-rays), based on the GGA-PBE geometry in the Materials Project.
Intensities are scaled so that the largest is 100.

Crystal structure
```
TlGaSe2
1.0
-4.114 4.114 3.266
4.114 -4.114 3.266
4.114 4.114 -3.266
Tl Ga Se
2 2 4
Direct
0.250 0.250 0.000 Tl
0.750 0.750 0.000 Tl
0.250 0.750 0.500 Ga
0.750 0.250 0.500 Ga
0.159 0.659 0.818 Se
0.341 0.159 0.500 Se
0.659 0.841 0.500 Se
0.841 0.341 0.182 Se
```

Largest 10 diffraction maxima, by angle, 2θ = 10–90°:
2θ 21.60, I = 62
2θ 27.83, I = 48
2θ 30.74, I = 56
2θ 31.41, I = 34
2θ 34.47, I = 40
2θ 35.08, I = 100
2θ 41.57, I = 33
2θ 49.55, I = 33
2θ 52.58, I = 39
2θ 57.49, I = 22

Entry 10:
Pr2Ge5Ir3: computed XRD peak list (Cu Kα X-rays), based on the GGA-PBE geometry in the Materials Project.
Intensities are scaled so that the largest is 100.

Crystal structure
```
Pr2Ge5Ir3
1.0
-5.172 6.015 3.066
5.172 -6.015 3.066
5.172 6.015 -3.066
Pr Ge Ir
4 10 6
Direct
0.133 0.228 0.361 Pr
0.367 0.728 0.094 Pr
0.633 0.272 0.906 Pr
0.867 0.772 0.639 Pr
0.026 0.750 0.276 Ge
0.100 0.660 0.760 Ge
0.250 0.250 0.000 Ge
0.400 0.160 0.560 Ge
0.474 0.750 0.724 Ge
0.526 0.250 0.276 Ge
0.600 0.840 0.440 Ge
0.750 0.750 0.000 Ge
0.900 0.340 0.240 Ge
0.974 0.250 0.724 Ge
0.141 0.891 0.032 Ir
0.250 0.750 0.500 Ir
0.359 0.391 0.750 Ir
0.641 0.609 0.250 Ir
0.750 0.250 0.500 Ir
0.859 0.109 0.968 Ir
```

Largest 10 diffraction maxima, by angle, 2θ = 10–90°:
2θ 23.80, I = 30
2θ 31.33, I = 26
2θ 33.33, I = 100
2θ 33.99, I = 60
2θ 34.50, I = 50
2θ 42.09, I = 93
2θ 45.92, I = 26
2θ 48.88, I = 23
2θ 54.37, I = 25
2θ 60.38, I = 21

Entry 11:
K2CaS2O9: computed XRD peak list (Cu Kα X-rays), based on the GGA-PBE geometry in the Materials Project.
Intensities are scaled so that the largest is 100.

Crystal structure
```
K2CaS2O9
1.0
6.256 0.000 0.000
0.000 7.128 0.000
-2.823 0.000 9.703
K Ca S O
4 2 4 18
Direct
0.193 0.006 0.341 K
0.193 0.494 0.341 K
0.807 0.506 0.659 K
0.807 0.994 0.659 K
0.342 0.250 0.959 Ca
0.658 0.750 0.041 Ca
0.151 0.750 0.006 S
0.272 0.250 0.640 S
0.728 0.750 0.360 S
0.849 0.250 0.994 S
0.040 0.250 0.121 O
0.052 0.250 0.533 O
0.059 0.750 0.128 O
0.289 0.081 0.732 O
0.289 0.419 0.732 O
0.296 0.582 0.012 O
0.296 0.918 0.012 O
0.453 0.250 0.571 O
0.476 0.250 0.218 O
0.524 0.750 0.782 O
0.547 0.750 0.429 O
0.704 0.082 0.988 O
0.704 0.418 0.988 O
0.711 0.581 0.268 O
0.711 0.919 0.268 O
0.941 0.250 0.872 O
0.948 0.750 0.467 O
0.960 0.750 0.879 O
```

Largest 10 diffraction maxima, by angle, 2θ = 10–90°:
2θ 15.42, I = 75
2θ 19.32, I = 56
2θ 26.65, I = 50
2θ 27.58, I = 100
2θ 31.14, I = 60
2θ 31.24, I = 61
2θ 31.85, I = 61
2θ 32.25, I = 78
2θ 46.67, I = 41
2θ 51.26, I = 40